1.
Starting from a crystal structure in Alexandria, relaxed with PBE, the powder XRD pattern of Mg4In15Ga was calculated for Cu Kα X-rays.
Neutral-atom scattering factors, no anomalous dispersion.

Atomic structure:
```
data_Mg4In15Ga
_chemical_formula_sum 'Mg4 In15 Ga1'
_symmetry_space_group_name_H-M 'P 4/m m m'
_symmetry_Int_Tables_number 123
_symmetry_space_group_name_Hall '-P 4 2'
_cell_length_a 4.613
_cell_length_b 4.613
_cell_length_c 23.622
_cell_angle_alpha 90.00
_cell_angle_beta 90.00
_cell_angle_gamma 90.00
loop_
_atom_site_label
_atom_site_type_symbol
_atom_site_fract_x
_atom_site_fract_y
_atom_site_fract_z
_atom_site_occupancy
Mg1 Mg 0.000 0.000 0.100 1
Mg2 Mg 0.000 0.000 0.300 1
In1 In 0.000 0.500 0.000 1
In2 In 0.000 0.500 0.200 1
In3 In 0.000 0.500 0.400 1
In4 In 0.500 0.500 0.099 1
In5 In 0.500 0.500 0.300 1
In6 In 0.500 0.500 0.500 1
Ga1 Ga 0.000 0.000 0.500 1
```

Peak list (10 most intense, 2θ from 5° to 70°, low angle first)
h k l  two_theta  I (rel.)
0 0 5  18.78  5
1 0 0  19.24  9
1 0 5  27.01  8
1 1 5  33.38  100
0 0 10  38.10  17
2 0 0  39.05  32
2 0 10  55.70  22
2 2 0  56.42  11
1 1 15  65.86  13
3 1 5  67.16  25



2.
Starting from a crystal structure in Alexandria, relaxed with PBE, the powder XRD pattern of MgIn2Ga4 was calculated for Cu Kα X-rays.
Neutral-atom scattering factors, no anomalous dispersion.

Atomic structure:
```
data_MgIn2Ga4
_chemical_formula_sum 'Mg2 In4 Ga8'
_symmetry_space_group_name_H-M 'C m m m'
_symmetry_Int_Tables_number 65
_symmetry_space_group_name_Hall '-C 2 2'
_cell_length_a 4.190
_cell_length_b 22.975
_cell_length_c 3.129
_cell_angle_alpha 90.00
_cell_angle_beta 90.00
_cell_angle_gamma 90.00
loop_
_atom_site_label
_atom_site_type_symbol
_atom_site_fract_x
_atom_site_fract_y
_atom_site_fract_z
_atom_site_occupancy
Mg1 Mg 0.000 0.000 0.000 1
In1 In 0.000 0.301 0.500 1
Ga1 Ga 0.000 0.127 0.000 1
Ga2 Ga 0.000 0.436 0.500 1
```

Peak list (10 most intense, 2θ from 5° to 70°, low angle first)
h k l  two_theta  I (rel.)
0 2 0  7.70  28
0 0 1  28.53  17
1 5 0  28.84  45
0 4 1  32.59  19
1 7 0  34.72  100
1 1 1  36.04  95
1 3 1  37.76  36
0 8 1  42.74  68
2 0 0  43.19  38
2 8 1  62.38  42



3.
Starting from a crystal structure in Alexandria, relaxed with PBE, the powder XRD pattern of Mg2In2Ga15 was calculated for Cu Kα X-rays.
Neutral-atom scattering factors, no anomalous dispersion.

Atomic structure:
```
data_Mg2In2Ga15
_chemical_formula_sum 'Mg6 In6 Ga45'
_symmetry_space_group_name_H-M 'R -3 m'
_symmetry_Int_Tables_number 166
_symmetry_space_group_name_Hall '-R 3 2"'
_cell_length_a 9.4365
_cell_length_b 9.4365
_cell_length_c 15.0222
_cell_angle_alpha 90.00
_cell_angle_beta 90.00
_cell_angle_gamma 120.00
loop_
_atom_site_label
_atom_site_type_symbol
_atom_site_fract_x
_atom_site_fract_y
_atom_site_fract_z
_atom_site_occupancy
Mg1 Mg 0.0000 0.0000 0.1085 1
In1 In 0.0000 0.0000 0.3452 1
Ga1 Ga 0.0000 0.2873 0.0000 1
Ga2 Ga 0.0000 0.5000 0.5000 1
Ga3 Ga 0.0114 0.5057 0.1294 1
```

Peak list (10 most intense, 2θ from 5° to 70°, low angle first)
h k l  two_theta  I (rel.)
1 1 3  25.95  18
1 2 2  31.31  20
0 2 4  32.38  43
3 0 0  32.88  22
0 0 6  35.87  30
2 0 5  37.14  46
0 3 3  37.59  100
2 2 0  38.15  53
2 2 3  42.35  37
4 1 3  54.66  17



Number 2 is which compound? MgIn2Ga4